[1]
The following is a computed PXRD pattern of ScAg4Au. It was derived from a cell relaxed with GGA-PBE, using λ = 1.5418 Å (Cu Kα).
Neutral-atom scattering factors, no anomalous dispersion.

a = 5.446 Å, b = 5.446 Å, c = 5.446 Å
α = 60.00°, β = 60.00°, γ = 60.00°
Sites, in units of the cell vectors:
Sc  0.000  0.000  0.000
Ag  0.125  0.625  0.625
Ag  0.625  0.125  0.625
Ag  0.625  0.625  0.125
Ag  0.625  0.625  0.625
Au  0.250  0.250  0.250

The 10 most intense peaks (2θ = 10–90°), in order of rising 2θ:
19.97°, rel. 15; 23.10°, rel. 13; 32.89°, rel. 27; 38.78°, rel. 100; 40.57°, rel. 39; 58.73°, rel. 10; 62.68°, rel. 31; 68.97°, rel. 25; 82.04°, rel. 11; 83.20°, rel. 14

[2]
The following is a computed PXRD pattern of In2Ag2Au. It was derived from a cell relaxed with GGA-PBE, using λ = 1.5418 Å (Cu Kα).
Neutral-atom scattering factors, no anomalous dispersion.

a = 7.281 Å, b = 7.281 Å, c = 7.281 Å
α = 146.93°, β = 146.93°, γ = 47.47°
Sites, in units of the cell vectors:
In  0.250  0.750  0.500
In  0.750  0.250  0.500
Ag  0.099  0.099  0.000
Ag  0.901  0.901  0.000
Au  0.500  0.500  0.000

The 10 most intense peaks (2θ = 10–90°), in order of rising 2θ:
26.75°, rel. 11; 29.47°, rel. 37; 33.40°, rel. 100; 40.22°, rel. 42; 43.68°, rel. 40; 53.57°, rel. 14; 60.87°, rel. 24; 63.49°, rel. 13; 73.66°, rel. 20; 78.89°, rel. 14